Record 1
Calculated XRD peak list of HfCd3Si for Cu Kα, 1.54184 Å, from DFT lattice parameters and positions (GGA-PBE).
Peak positions follow from Bragg's law for the DFT cell and can differ from measured ones.

Cell and atoms:
```
data_HfCd3Si
_symmetry_space_group_name_H-M 'P m -3 m'
_symmetry_Int_Tables_number 221
_symmetry_space_group_name_Hall '-P 4 2 3'
_cell_length_a 4.9853
_cell_length_b 4.9853
_cell_length_c 4.9853
_cell_angle_alpha 90.00
_cell_angle_beta 90.00
_cell_angle_gamma 90.00
loop_
_atom_site_label
_atom_site_type_symbol
_atom_site_fract_x
_atom_site_fract_y
_atom_site_fract_z
_atom_site_occupancy
Hf1 Hf 0.0000 0.0000 0.0000 1
Cd1 Cd 0.0000 0.5000 0.5000 1
Si1 Si 0.5000 0.5000 0.5000 1
```

Largest 8 diffraction maxima, by angle, 2θ = 10–80°:
2θ = 25.26°, intensity 8; 2θ = 31.07°, intensity 100; 2θ = 36.03°, intensity 63; 2θ = 44.52°, intensity 4; 2θ = 51.87°, intensity 43; 2θ = 61.71°, intensity 41; 2θ = 64.78°, intensity 15; 2θ = 76.42°, intensity 7

***

Record 2
Calculated XRD peak list of CsGdSiS4 for Cu Kα, 1.54184 Å, from DFT lattice parameters and positions (GGA-PBE).
Peak positions follow from Bragg's law for the DFT cell and can differ from measured ones.

Cell and atoms:
```
data_CsGdSiS4
_symmetry_space_group_name_H-M 'P 21 21 21'
_symmetry_Int_Tables_number 19
_cell_length_a 6.4766
_cell_length_b 6.7686
_cell_length_c 18.0066
_cell_angle_alpha 90.00
_cell_angle_beta 90.00
_cell_angle_gamma 90.00
loop_
_symmetry_equiv_pos_as_xyz
'x,y,z'
'-x+1/2,-y,z+1/2'
'x+1/2,-y+1/2,-z'
'-x,y+1/2,-z+1/2'
loop_
_atom_site_label
_atom_site_type_symbol
_atom_site_fract_x
_atom_site_fract_y
_atom_site_fract_z
_atom_site_occupancy
Cs1 Cs 0.0180 0.0054 0.4674 1
Gd1 Gd 0.2096 0.0235 0.7279 1
Si1 Si 0.2099 0.5163 0.3312 1
S1 S 0.0500 0.0108 0.0977 1
S2 S 0.0696 0.2551 0.8528 1
S3 S 0.1073 0.7469 0.8424 1
S4 S 0.1079 0.5744 0.2207 1
```

Largest 8 diffraction maxima, by angle, 2θ = 10–80°:
2θ = 18.96°, intensity 68; 2θ = 19.60°, intensity 100; 2θ = 23.74°, intensity 68; 2θ = 26.33°, intensity 87; 2θ = 29.31°, intensity 100; 2θ = 31.36°, intensity 66; 2θ = 33.12°, intensity 66; 2θ = 39.81°, intensity 99

***

Record 3
Calculated XRD peak list of AcLaRuBr for Cu Kα, 1.54184 Å, from DFT lattice parameters and positions (GGA-PBE).
Peak positions follow from Bragg's law for the DFT cell and can differ from measured ones.

Cell and atoms:
```
data_AcLaRuBr
_symmetry_space_group_name_H-M 'R 3 m'
_symmetry_Int_Tables_number 160
_symmetry_space_group_name_Hall 'R 3 -2"'
_cell_length_a 4.2082
_cell_length_b 4.2082
_cell_length_c 24.5143
_cell_angle_alpha 90.00
_cell_angle_beta 90.00
_cell_angle_gamma 120.00
loop_
_atom_site_label
_atom_site_type_symbol
_atom_site_fract_x
_atom_site_fract_y
_atom_site_fract_z
_atom_site_occupancy
Ac1 Ac 0.0000 0.0000 0.0000 1
La1 La 0.0000 0.0000 0.7959 1
Ru1 Ru 0.0000 0.0000 0.4041 1
Br1 Br 0.0000 0.0000 0.2275 1
```

Largest 8 diffraction maxima, by angle, 2θ = 10–80°:
2θ = 10.83°, intensity 33; 2θ = 24.70°, intensity 22; 2θ = 28.49°, intensity 32; 2θ = 30.56°, intensity 100; 2θ = 42.99°, intensity 44; 2θ = 44.53°, intensity 33; 2θ = 53.66°, intensity 21; 2θ = 71.09°, intensity 18

***

Record 4
Calculated XRD peak list of K3Na4Pb for Cu Kα, 1.54184 Å, from DFT lattice parameters and positions (GGA-PBE).
Peak positions follow from Bragg's law for the DFT cell and can differ from measured ones.

Cell and atoms:
```
data_K3Na4Pb
_symmetry_space_group_name_H-M 'I m m 2'
_symmetry_Int_Tables_number 44
_cell_length_a 7.2127
_cell_length_b 14.0165
_cell_length_c 7.9064
_cell_angle_alpha 90.00
_cell_angle_beta 90.00
_cell_angle_gamma 90.00
loop_
_symmetry_equiv_pos_as_xyz
'x,y,z'
'-x,-y,z'
'-x,y,z'
'x,-y,z'
'x+1/2,y+1/2,z+1/2'
'-x+1/2,-y+1/2,z+1/2'
'-x+1/2,y+1/2,z+1/2'
'x+1/2,-y+1/2,z+1/2'
loop_
_atom_site_label
_atom_site_type_symbol
_atom_site_fract_x
_atom_site_fract_y
_atom_site_fract_z
_atom_site_occupancy
K1 K 0.0000 0.0000 0.0000 1
K2 K 0.0000 0.2592 0.2585 1
Na1 Na 0.0000 0.3704 0.7211 1
Na2 Na 0.2455 0.0000 0.5516 1
Pb1 Pb 0.0000 0.5000 0.3924 1
```

Largest 8 diffraction maxima, by angle, 2θ = 10–80°:
2θ = 12.63°, intensity 58; 2θ = 12.86°, intensity 100; 2θ = 13.81°, intensity 87; 2θ = 16.64°, intensity 64; 2θ = 22.10°, intensity 38; 2θ = 27.93°, intensity 63; 2θ = 30.53°, intensity 55; 2θ = 33.37°, intensity 42

***

Record 5
Calculated XRD peak list of TlGa3Au10 for Cu Kα, 1.54184 Å, from DFT lattice parameters and positions (GGA-PBE).
Peak positions follow from Bragg's law for the DFT cell and can differ from measured ones.

Cell and atoms:
```
data_TlGa3Au10
_symmetry_space_group_name_H-M 'I m m m'
_symmetry_Int_Tables_number 71
_symmetry_space_group_name_Hall '-I 2 2'
_cell_length_a 8.4399
_cell_length_b 9.4562
_cell_length_c 14.0895
_cell_angle_alpha 90.00
_cell_angle_beta 90.00
_cell_angle_gamma 90.00
loop_
_atom_site_label
_atom_site_type_symbol
_atom_site_fract_x
_atom_site_fract_y
_atom_site_fract_z
_atom_site_occupancy
Tl1 Tl 0.0000 0.0000 0.2319 1
Ga1 Ga 0.0000 0.5000 0.2843 1
Ga2 Ga 0.1729 0.2440 0.0000 1
Au1 Au 0.0000 0.1530 0.5000 1
Au2 Au 0.0000 0.2997 0.1512 1
Au3 Au 0.1726 0.2914 0.3397 1
Au4 Au 0.1764 0.5000 0.5000 1
Au5 Au 0.2463 0.5000 0.1045 1
```

Largest 8 diffraction maxima, by angle, 2θ = 10–80°:
2θ = 32.89°, intensity 40; 2θ = 33.18°, intensity 54; 2θ = 36.13°, intensity 49; 2θ = 37.26°, intensity 64; 2θ = 38.34°, intensity 39; 2θ = 40.56°, intensity 37; 2θ = 42.03°, intensity 100; 2θ = 43.02°, intensity 63

***

Record 6
Calculated XRD peak list of Sm5Dy2Y5 for Cu Kα, 1.54184 Å, from DFT lattice parameters and positions (GGA-PBE).
Peak positions follow from Bragg's law for the DFT cell and can differ from measured ones.

Cell and atoms:
```
data_Sm5Dy2Y5
_symmetry_space_group_name_H-M 'C 1 2/m 1'
_symmetry_Int_Tables_number 12
_cell_length_a 15.2174
_cell_length_b 5.0813
_cell_length_c 11.3474
_cell_angle_alpha 90.00
_cell_angle_beta 116.58
_cell_angle_gamma 90.00
loop_
_symmetry_equiv_pos_as_xyz
'x,y,z'
'-x,-y,-z'
'-x,y,-z'
'x,-y,z'
'x+1/2,y+1/2,z'
'-x+1/2,-y+1/2,-z'
'-x+1/2,y+1/2,-z'
'x+1/2,-y+1/2,z'
loop_
_atom_site_label
_atom_site_type_symbol
_atom_site_fract_x
_atom_site_fract_y
_atom_site_fract_z
_atom_site_occupancy
Sm1 Sm 0.0000 0.0000 0.0000 1
Sm2 Sm 0.0827 0.0000 0.7500 1
Sm3 Sm 0.1666 0.0000 0.4996 1
Dy1 Dy 0.0833 0.5000 0.2501 1
Y1 Y 0.0000 0.5000 0.5000 1
Y2 Y 0.1666 0.5000 0.0005 1
Y3 Y 0.2490 0.0000 0.2491 1
```

Largest 8 diffraction maxima, by angle, 2θ = 10–80°:
2θ = 11.99°, intensity 2; 2θ = 30.50°, intensity 100; 2θ = 35.37°, intensity 50; 2θ = 50.88°, intensity 36; 2θ = 60.49°, intensity 42; 2θ = 63.49°, intensity 12; 2θ = 74.73°, intensity 2; 2θ = 74.87°, intensity 4

***

Question: Number 3 is which compound?
Answer: AcLaRuBr